Calculated powder XRD pattern
Compound: LiNdZn10
Radiation: Cu Ka
Structure: DFT lattice parameters and positions (PBE)
Lines closer than 0.1° are merged.

Top 8 peaks for 2θ from 10° to 90°, sorted by position:
2θ (°), I (rel.)
28.62, 22
33.22, 26
38.74, 23
39.84, 100
40.31, 28
41.00, 51
41.52, 55
45.60, 43

Atomic structure:
Unit cell a=4.3494 b=5.1048 c=9.2984 alpha=90.00 beta=90.00 gamma=90.00
Positions (direct):
1 Li 0.0000 0.0000 0.0000
2 Nd 0.0000 0.5000 0.5000
3 Zn 0.0000 0.0000 0.3009
4 Zn 0.0000 0.0000 0.6991
5 Zn 0.0000 0.5000 0.1508
6 Zn 0.0000 0.5000 0.8492
7 Zn 0.5000 0.0000 0.5000
8 Zn 0.5000 0.2562 0.2574
9 Zn 0.5000 0.2562 0.7426
10 Zn 0.5000 0.5000 0.0000
11 Zn 0.5000 0.7438 0.2574
12 Zn 0.5000 0.7438 0.7426

Calculated powder XRD pattern
Compound: MgRhAu3
Radiation: Cu Ka
Structure: DFT lattice parameters and positions (PBE)
Lines closer than 0.1° are merged.

Top 8 peaks for 2θ from 10° to 90°, sorted by position:
2θ (°), I (rel.)
14.08, 73
28.05, 26
34.86, 35
37.35, 41
38.46, 36
39.99, 100
40.46, 65
42.67, 33

Atomic structure:
Unit cell a=4.9276 b=5.6418 c=13.4569 alpha=90.00 beta=110.77 gamma=90.00
Positions (direct):
1 Mg 0.1082 0.0983 0.2512
2 Mg 0.1082 0.4017 0.7512
3 Mg 0.8918 0.5983 0.2488
4 Mg 0.8918 0.9017 0.7488
5 Rh 0.3009 0.0362 0.6413
6 Rh 0.3009 0.4638 0.1413
7 Rh 0.6991 0.5362 0.8587
8 Rh 0.6991 0.9638 0.3587
9 Au 0.1156 0.1905 0.9476
10 Au 0.1156 0.3095 0.4476
11 Au 0.2768 0.6838 0.9408
12 Au 0.2768 0.8162 0.4408
13 Au 0.4716 0.5447 0.6460
14 Au 0.4716 0.9553 0.1460
15 Au 0.5284 0.0447 0.8540
16 Au 0.5284 0.4553 0.3540
17 Au 0.7232 0.1838 0.5592
18 Au 0.7232 0.3162 0.0592
19 Au 0.8844 0.6905 0.5524
20 Au 0.8844 0.8095 0.0524

Calculated powder XRD pattern
Compound: MgCd2Te2
Radiation: Cu Ka
Structure: DFT lattice parameters and positions (PBE)
Lines closer than 0.1° are merged.

Top 8 peaks for 2θ from 10° to 90°, sorted by position:
2θ (°), I (rel.)
21.30, 41
25.07, 38
29.35, 64
30.30, 33
31.29, 100
36.55, 38
38.92, 35
48.18, 56

Atomic structure:
Unit cell a=8.3431 b=8.3431 c=4.4497 alpha=90.00 beta=90.00 gamma=90.00
Positions (direct):
1 Mg 0.0000 0.0000 0.0000
2 Mg 0.5000 0.5000 0.0000
3 Cd 0.1152 0.3848 0.5000
4 Cd 0.3848 0.8848 0.5000
5 Cd 0.6152 0.1152 0.5000
6 Cd 0.8848 0.6152 0.5000
7 Te 0.2245 0.7245 0.0000
8 Te 0.2755 0.2245 0.0000
9 Te 0.7245 0.7755 0.0000
10 Te 0.7755 0.2755 0.0000

Calculated powder XRD pattern
Compound: KNpTiO5
Radiation: Cu Ka
Structure: DFT lattice parameters and positions (PBE)
Lines closer than 0.1° are merged.

Top 8 peaks for 2θ from 10° to 90°, sorted by position:
2θ (°), I (rel.)
15.87, 100
18.08, 28
24.15, 75
26.25, 40
30.33, 46
30.69, 37
32.92, 22
33.91, 19

Atomic structure:
Unit cell a=6.1786 b=6.1786 c=8.0072 alpha=105.04 beta=105.04 gamma=105.15
Positions (direct):
1 K 0.1689 0.8311 0.7500
2 K 0.8311 0.1689 0.2500
3 Np 0.5000 0.5000 0.0000
4 Np 0.5000 0.5000 0.5000
5 Ti 0.1872 0.8128 0.2500
6 Ti 0.8128 0.1872 0.7500
7 O 0.1249 0.2692 0.8961
8 O 0.2107 0.6187 0.3906
9 O 0.2692 0.1249 0.3961
10 O 0.3813 0.7893 0.1094
11 O 0.4389 0.5611 0.7500
12 O 0.5611 0.4389 0.2500
13 O 0.6187 0.2107 0.8906
14 O 0.7308 0.8751 0.6039
15 O 0.7893 0.3813 0.6094
16 O 0.8751 0.7308 0.1039

Calculated powder XRD pattern
Compound: Sm3SbP
Radiation: Cu Ka
Structure: DFT lattice parameters and positions (PBE)
Lines closer than 0.1° are merged.

Top 8 peaks for 2θ from 10° to 90°, sorted by position:
2θ (°), I (rel.)
24.38, 52
25.84, 67
30.12, 67
30.27, 43
31.31, 78
33.26, 100
36.94, 26
43.95, 56

Atomic structure:
Unit cell a=9.5465 b=9.5465 c=7.2403 alpha=99.39 beta=99.39 gamma=77.14
Positions (direct):
1 Sm 0.0343 0.1684 0.4291
2 Sm 0.1434 0.6531 0.0337
3 Sm 0.1684 0.0343 0.9291
4 Sm 0.3107 0.4713 0.5353
5 Sm 0.3469 0.8566 0.4663
6 Sm 0.4713 0.3107 0.0353
7 Sm 0.5287 0.6893 0.9647
8 Sm 0.6531 0.1434 0.5337
9 Sm 0.6893 0.5287 0.4647
10 Sm 0.8316 0.9657 0.0709
11 Sm 0.8566 0.3469 0.9663
12 Sm 0.9657 0.8316 0.5709
13 Sb 0.1408 0.3514 0.7966
14 Sb 0.3514 0.1408 0.2966
15 Sb 0.6486 0.8592 0.7034
16 Sb 0.8592 0.6486 0.2034
17 P 0.2510 0.7490 0.7500
18 P 0.4146 0.5854 0.2500
19 P 0.5854 0.4146 0.7500
20 P 0.7490 0.2510 0.2500

Calculated powder XRD pattern
Compound: Sm3SiNi2
Radiation: Cu Ka
Structure: DFT lattice parameters and positions (PBE)
Lines closer than 0.1° are merged.

Top 8 peaks for 2θ from 10° to 90°, sorted by position:
2θ (°), I (rel.)
27.46, 47
31.26, 47
31.51, 86
32.23, 76
33.12, 100
35.75, 57
41.34, 41
45.81, 41

Atomic structure:
Unit cell a=11.7227 b=3.9616 c=11.6882 alpha=90.00 beta=90.00 gamma=90.00
Positions (direct):
1 Sm 0.0702 0.2500 0.1219
2 Sm 0.1167 0.7500 0.5631
3 Sm 0.1881 0.2500 0.8156
4 Sm 0.3119 0.7500 0.3156
5 Sm 0.3833 0.2500 0.0631
6 Sm 0.4298 0.7500 0.6219
7 Sm 0.5702 0.2500 0.3781
8 Sm 0.6167 0.7500 0.9369
9 Sm 0.6881 0.2500 0.6844
10 Sm 0.8119 0.7500 0.1844
11 Sm 0.8833 0.2500 0.4369
12 Sm 0.9298 0.7500 0.8781
13 Si 0.1277 0.2500 0.3692
14 Si 0.3723 0.7500 0.8692
15 Si 0.6277 0.2500 0.1308
16 Si 0.8723 0.7500 0.6308
17 Ni 0.0399 0.7500 0.3136
18 Ni 0.1961 0.7500 0.9857
19 Ni 0.3039 0.2500 0.4857
20 Ni 0.4601 0.2500 0.8136
21 Ni 0.5399 0.7500 0.1864
22 Ni 0.6961 0.7500 0.5143
23 Ni 0.8039 0.2500 0.0143
24 Ni 0.9601 0.2500 0.6864

Calculated powder XRD pattern
Compound: Ir9OsRu2
Radiation: Cu Ka
Structure: DFT lattice parameters and positions (PBE)
Lines closer than 0.1° are merged.

Top 8 peaks for 2θ from 10° to 90°, sorted by position:
2θ (°), I (rel.)
23.04, 2
32.80, 2
40.47, 100
47.07, 49
53.04, 1
68.77, 32
82.94, 39
87.53, 12

Atomic structure:
Unit cell a=3.8609 b=3.8609 c=11.5830 alpha=90.00 beta=90.00 gamma=90.00
Positions (direct):
1 Ir 0.0000 0.0000 0.0000
2 Ir 0.0000 0.0000 0.3330
3 Ir 0.0000 0.0000 0.6670
4 Ir 0.0000 0.5000 0.1663
5 Ir 0.0000 0.5000 0.5000
6 Ir 0.0000 0.5000 0.8337
7 Ir 0.5000 0.0000 0.1663
8 Ir 0.5000 0.0000 0.5000
9 Ir 0.5000 0.0000 0.8337
10 Os 0.5000 0.5000 0.0000
11 Ru 0.5000 0.5000 0.3352
12 Ru 0.5000 0.5000 0.6648

Calculated powder XRD pattern
Compound: PmEr8Th2
Radiation: Cu Ka
Structure: DFT lattice parameters and positions (PBE)
Lines closer than 0.1° are merged.

Top 8 peaks for 2θ from 10° to 90°, sorted by position:
2θ (°), I (rel.)
29.92, 62
31.30, 100
31.98, 76
32.17, 84
32.73, 82
32.90, 93
42.71, 25
49.12, 27

Atomic structure:
Unit cell a=5.9795 b=8.3978 c=8.4621 alpha=103.89 beta=109.63 gamma=108.84
Positions (direct):
1 Pm 0.0000 0.0000 0.0000
2 Er 0.2314 0.6433 0.7335
3 Er 0.2582 0.4611 0.0904
4 Er 0.2987 0.2750 0.4600
5 Er 0.3795 0.0923 0.7960
6 Er 0.6205 0.9077 0.2040
7 Er 0.7013 0.7250 0.5400
8 Er 0.7418 0.5389 0.9096
9 Er 0.7686 0.3567 0.2665
10 Th 0.1681 0.8096 0.3627
11 Th 0.8319 0.1904 0.6373

Calculated powder XRD pattern
Compound: PrGa3H12
Radiation: Cu Ka
Structure: DFT lattice parameters and positions (PBE)
Lines closer than 0.1° are merged.

Top 8 peaks for 2θ from 10° to 90°, sorted by position:
2θ (°), I (rel.)
11.53, 40
25.15, 53
27.75, 100
30.38, 32
34.46, 39
35.07, 25
47.06, 23
54.37, 29

Atomic structure:
Unit cell a=8.8648 b=8.8648 c=5.8845 alpha=90.00 beta=90.00 gamma=120.00
Positions (direct):
1 Pr 0.3333 0.6667 0.2500
2 Pr 0.6667 0.3333 0.7500
3 Ga 0.0895 0.7177 0.7500
4 Ga 0.2823 0.3719 0.7500
5 Ga 0.3719 0.0895 0.2500
6 Ga 0.6281 0.9105 0.7500
7 Ga 0.7177 0.6281 0.2500
8 Ga 0.9105 0.2823 0.2500
9 H 0.0028 0.8319 0.7500
10 H 0.0378 0.4925 0.2500
11 H 0.1681 0.1709 0.7500
12 H 0.1709 0.0028 0.2500
13 H 0.2154 0.7532 0.5336
14 H 0.2154 0.7532 0.9664
15 H 0.2468 0.4622 0.5336
16 H 0.2468 0.4622 0.9664
17 H 0.4547 0.9622 0.2500
18 H 0.4622 0.2154 0.0336
19 H 0.4622 0.2154 0.4664
20 H 0.4925 0.4547 0.7500
21 H 0.5075 0.5453 0.2500
22 H 0.5378 0.7846 0.5336
23 H 0.5378 0.7846 0.9664
24 H 0.5453 0.0378 0.7500
25 H 0.7532 0.5378 0.0336
26 H 0.7532 0.5378 0.4664
27 H 0.7846 0.2468 0.0336
28 H 0.7846 0.2468 0.4664
29 H 0.8291 0.9972 0.7500
30 H 0.8319 0.8291 0.2500
31 H 0.9622 0.5075 0.7500
32 H 0.9972 0.1681 0.2500

Calculated powder XRD pattern
Compound: Sm2BeSi3Pt4
Radiation: Cu Ka
Structure: DFT lattice parameters and positions (PBE)
Lines closer than 0.1° are merged.

Top 8 peaks for 2θ from 10° to 90°, sorted by position:
2θ (°), I (rel.)
27.11, 36
27.92, 31
31.49, 99
34.66, 80
35.31, 100
43.13, 77
56.47, 40
64.84, 29

Atomic structure:
Unit cell a=4.1948 b=4.1948 c=9.8673 alpha=90.00 beta=90.00 gamma=90.00
Positions (direct):
1 Sm 0.0000 0.5000 0.2406
2 Sm 0.5000 0.0000 0.7594
3 Be 0.5000 0.5000 0.0000
4 Si 0.0000 0.0000 0.0000
5 Si 0.0000 0.5000 0.6365
6 Si 0.5000 0.0000 0.3635
7 Pt 0.0000 0.0000 0.5000
8 Pt 0.0000 0.5000 0.8787
9 Pt 0.5000 0.0000 0.1213
10 Pt 0.5000 0.5000 0.5000

Calculated powder XRD pattern
Compound: LiLa2Tl
Radiation: Cu Ka
Structure: DFT lattice parameters and positions (PBE)
Lines closer than 0.1° are merged.

Top 8 peaks for 2θ from 10° to 90°, sorted by position:
2θ (°), I (rel.)
16.05, 21
24.31, 19
29.31, 26
32.42, 20
32.67, 100
33.01, 26
46.95, 15
58.74, 19

Atomic structure:
Unit cell a=6.4521 b=6.4521 c=6.4521 alpha=145.00 beta=130.26 gamma=62.26
Positions (direct):
1 Li 0.0000 0.0000 0.0000
2 La 0.4591 0.4591 0.0000
3 La 0.7332 0.2332 0.5000
4 Tl 0.1834 0.6834 0.5000

Calculated powder XRD pattern
Compound: Ho2AlSi4Ni3
Radiation: Cu Ka
Structure: DFT lattice parameters and positions (PBE)
Lines closer than 0.1° are merged.

Top 8 peaks for 2θ from 10° to 90°, sorted by position:
2θ (°), I (rel.)
24.36, 44
32.23, 41
35.40, 92
37.06, 100
46.22, 49
51.44, 33
59.54, 40
79.52, 26

Atomic structure:
Unit cell a=3.9280 b=3.9280 c=9.9588 alpha=90.00 beta=90.00 gamma=90.00
Positions (direct):
1 Ho 0.0000 0.5000 0.2389
2 Ho 0.5000 0.0000 0.7611
3 Al 0.0000 0.0000 0.5000
4 Si 0.0000 0.0000 0.0000
5 Si 0.0000 0.5000 0.6497
6 Si 0.5000 0.0000 0.3503
7 Si 0.5000 0.5000 0.0000
8 Ni 0.0000 0.5000 0.8779
9 Ni 0.5000 0.0000 0.1221
10 Ni 0.5000 0.5000 0.5000